Record 1
Starting from a DFT-relaxed cell (PBE, Alexandria), the powder XRD pattern of Zr3As2C was calculated for Cu Ka.

Atomic structure:
Cell: 3.5535 5.2552 11.6346 Å, 90.00 90.00 90.00°
Atoms (fractional coordinates):
1 Zr 0.0000 0.0000 0.0000
2 Zr 0.0000 0.0000 0.3678
3 Zr 0.0000 0.0000 0.6322
4 Zr 0.5000 0.5000 0.1322
5 Zr 0.5000 0.5000 0.5000
6 Zr 0.5000 0.5000 0.8678
7 As 0.0000 0.5000 0.3234
8 As 0.0000 0.5000 0.6766
9 As 0.5000 0.0000 0.1766
10 As 0.5000 0.0000 0.8234
11 C 0.0000 0.5000 0.0000
12 C 0.5000 0.0000 0.5000

Most intense lines, 10° ≤ 2θ ≤ 90°, in order of rising 2θ:
2θ = 30.36°, d 2.944, I = 11; 2θ = 34.13°, d 2.627, I = 92; 2θ = 34.22°, d 2.620, I = 100; 2θ = 42.49°, d 2.128, I = 29; 2θ = 49.10°, d 1.855, I = 70; 2θ = 51.43°, d 1.777, I = 18; 2θ = 63.17°, d 1.472, I = 19; 2θ = 68.84°, d 1.364, I = 14; 2θ = 72.49°, d 1.304, I = 20; 2θ = 82.06°, d 1.174, I = 15

Record 2
Starting from a DFT-relaxed cell (PBE, Alexandria), the powder XRD pattern of Na3LiPb2 was calculated for Cu Ka.

Atomic structure:
Cell: 5.5075 17.4984 3.4214 Å, 90.00 90.00 90.00°
Atoms (fractional coordinates):
1 Na 0.0000 0.0000 0.0000
2 Na 0.0000 0.1926 0.5000
3 Na 0.0000 0.8074 0.5000
4 Na 0.5000 0.3074 0.5000
5 Na 0.5000 0.5000 0.0000
6 Na 0.5000 0.6926 0.5000
7 Li 0.0000 0.5000 0.5000
8 Li 0.5000 0.0000 0.5000
9 Pb 0.0000 0.3660 0.0000
10 Pb 0.0000 0.6340 0.0000
11 Pb 0.5000 0.1340 0.0000
12 Pb 0.5000 0.8660 0.0000

Most intense lines, 10° ≤ 2θ ≤ 90°, in order of rising 2θ:
2θ = 16.88°, d 5.253, I = 92; 2θ = 20.30°, d 4.375, I = 72; 2θ = 22.20°, d 4.004, I = 85; 2θ = 26.04°, d 3.421, I = 44; 2θ = 31.20°, d 2.867, I = 53; 2θ = 32.51°, d 2.754, I = 42; 2θ = 33.24°, d 2.695, I = 49; 2θ = 34.48°, d 2.601, I = 100; 2θ = 39.59°, d 2.276, I = 31; 2θ = 47.19°, d 1.926, I = 38

Record 3
Starting from a DFT-relaxed cell (PBE, Alexandria), the powder XRD pattern of CaDy3Zn4 was calculated for Cu Ka.

Atomic structure:
Cell: 5.0671 5.0671 7.2008 Å, 90.00 90.00 90.00°
Atoms (fractional coordinates):
1 Ca 0.0000 0.0000 0.0000
2 Dy 0.0000 0.0000 0.5000
3 Dy 0.5000 0.5000 0.0000
4 Dy 0.5000 0.5000 0.5000
5 Zn 0.0000 0.5000 0.2567
6 Zn 0.0000 0.5000 0.7433
7 Zn 0.5000 0.0000 0.2567
8 Zn 0.5000 0.0000 0.7433

Most intense lines, 10° ≤ 2θ ≤ 90°, in order of rising 2θ:
2θ = 12.29°, d 7.201, I = 5; 2θ = 24.85°, d 3.583, I = 7; 2θ = 35.37°, d 2.538, I = 100; 2θ = 50.71°, d 1.800, I = 6; 2θ = 50.98°, d 1.792, I = 12; 2θ = 63.38°, d 1.467, I = 12; 2θ = 63.55°, d 1.464, I = 23; 2θ = 74.76°, d 1.270, I = 7; 2θ = 85.29°, d 1.138, I = 5; 2θ = 85.72°, d 1.133, I = 10

Record 4
Starting from a DFT-relaxed cell (PBE, Alexandria), the powder XRD pattern of Li3Co was calculated for Cu Ka.

Atomic structure:
Cell: 5.3159 8.3381 2.4436 Å, 90.00 90.00 90.00°
Atoms (fractional coordinates):
1 Li 0.0000 0.0000 0.0000
2 Li 0.2500 0.2500 0.5000
3 Li 0.2500 0.7500 0.5000
4 Li 0.5000 0.5000 0.0000
5 Li 0.7500 0.2500 0.5000
6 Li 0.7500 0.7500 0.5000
7 Co 0.0000 0.5000 0.0000
8 Co 0.5000 0.0000 0.0000

Most intense lines, 10° ≤ 2θ ≤ 90°, in order of rising 2θ:
2θ = 19.81°, d 4.482, I = 100; 2θ = 21.31°, d 4.169, I = 42; 2θ = 33.72°, d 2.658, I = 13; 2θ = 36.48°, d 2.463, I = 21; 2θ = 40.24°, d 2.241, I = 29; 2θ = 42.12°, d 2.145, I = 27; 2θ = 42.90°, d 2.108, I = 24; 2θ = 43.41°, d 2.085, I = 11; 2θ = 50.75°, d 1.799, I = 14; 2θ = 52.79°, d 1.734, I = 20

Record 5
Starting from a DFT-relaxed cell (PBE, Alexandria), the powder XRD pattern of MgIn2Ge2Pd5 was calculated for Cu Ka.

Atomic structure:
Cell: 10.0415 10.0415 3.4978 Å, 90.00 90.00 90.00°
Atoms (fractional coordinates):
1 Mg 0.0000 0.0000 0.0000
2 Mg 0.5000 0.5000 0.0000
3 In 0.1739 0.3261 0.0000
4 In 0.3261 0.8261 0.0000
5 In 0.6739 0.1739 0.0000
6 In 0.8261 0.6739 0.0000
7 Ge 0.1373 0.6373 0.0000
8 Ge 0.3627 0.1373 0.0000
9 Ge 0.6373 0.8627 0.0000
10 Ge 0.8627 0.3627 0.0000
11 Pd 0.0000 0.5000 0.5000
12 Pd 0.0139 0.7881 0.5000
13 Pd 0.2119 0.0139 0.5000
14 Pd 0.2881 0.5139 0.5000
15 Pd 0.4861 0.2881 0.5000
16 Pd 0.5000 0.0000 0.5000
17 Pd 0.5139 0.7119 0.5000
18 Pd 0.7119 0.4861 0.5000
19 Pd 0.7881 0.9861 0.5000
20 Pd 0.9861 0.2119 0.5000

Most intense lines, 10° ≤ 2θ ≤ 90°, in order of rising 2θ:
2θ = 12.47°, d 7.100, I = 19; 2θ = 31.16°, d 2.870, I = 35; 2θ = 36.05°, d 2.492, I = 49; 2θ = 36.91°, d 2.435, I = 20; 2θ = 38.02°, d 2.367, I = 71; 2θ = 38.28°, d 2.351, I = 100; 2θ = 44.42°, d 2.039, I = 75; 2θ = 52.31°, d 1.749, I = 26; 2θ = 66.47°, d 1.407, I = 27; 2θ = 77.34°, d 1.234, I = 28

Record 6
Starting from a DFT-relaxed cell (PBE, Alexandria), the powder XRD pattern of Mg4Tl2Ag was calculated for Cu Ka.

Atomic structure:
Cell: 7.5371 7.5371 7.5371 Å, 110.03 110.03 108.35°
Atoms (fractional coordinates):
1 Mg 0.0350 0.1393 0.7475
2 Mg 0.2060 0.4508 0.6017
3 Mg 0.3918 0.2876 0.2525
4 Mg 0.3958 0.7940 0.2449
5 Mg 0.5492 0.1509 0.7551
6 Mg 0.7124 0.9650 0.1043
7 Mg 0.8491 0.6042 0.3983
8 Mg 0.8607 0.6082 0.8957
9 Tl 0.0183 0.3835 0.1426
10 Tl 0.1243 0.9817 0.3652
11 Tl 0.2409 0.8757 0.8574
12 Tl 0.6165 0.7591 0.6348
13 Ag 0.5000 0.5000 0.0000
14 Ag 0.7500 0.2500 0.5000

Most intense lines, 10° ≤ 2θ ≤ 90°, in order of rising 2θ:
2θ = 24.89°, d 3.577, I = 48; 2θ = 25.15°, d 3.540, I = 100; 2θ = 28.92°, d 3.087, I = 23; 2θ = 32.15°, d 2.784, I = 30; 2θ = 32.75°, d 2.735, I = 67; 2θ = 38.46°, d 2.340, I = 33; 2θ = 38.93°, d 2.313, I = 24; 2θ = 46.82°, d 1.940, I = 21; 2θ = 47.02°, d 1.933, I = 16; 2θ = 49.03°, d 1.858, I = 18

Record 7
Starting from a DFT-relaxed cell (PBE, Alexandria), the powder XRD pattern of Na5B7C3 was calculated for Cu Ka.

Atomic structure:
Cell: 11.6129 11.6129 9.9885 Å, 106.96 106.96 14.00°
Atoms (fractional coordinates):
1 Na 0.0000 0.0000 0.0000
2 Na 0.0993 0.0993 0.7006
3 Na 0.1969 0.1969 0.4007
4 Na 0.2992 0.2992 0.0960
5 Na 0.4006 0.4006 0.8012
6 Na 0.5001 0.5001 0.4985
7 Na 0.5973 0.5973 0.2003
8 Na 0.6991 0.6991 0.8976
9 Na 0.7985 0.7985 0.6020
10 Na 0.8995 0.8995 0.2984
11 B 0.0103 0.0103 0.2702
12 B 0.0793 0.0793 0.4104
13 B 0.1786 0.1786 0.1097
14 B 0.2125 0.2125 0.6790
15 B 0.2817 0.2817 0.8162
16 B 0.3147 0.3147 0.3806
17 B 0.3795 0.3795 0.5094
18 B 0.4161 0.4161 0.0809
19 B 0.5850 0.5850 0.9224
20 B 0.6185 0.6185 0.4902
21 B 0.7708 0.7708 0.2933
22 B 0.8223 0.8223 0.8953
23 B 0.9234 0.9234 0.5963
24 B 0.9907 0.9907 0.7327
25 C 0.1162 0.1162 0.9849
26 C 0.4799 0.4799 0.2078
27 C 0.5217 0.5217 0.7962
28 C 0.6810 0.6810 0.6164
29 C 0.7106 0.7106 0.1737
30 C 0.8849 0.8849 0.0184

Most intense lines, 10° ≤ 2θ ≤ 90°, in order of rising 2θ:
2θ = 34.93°, d 2.569, I = 8; 2θ = 36.23°, d 2.480, I = 12; 2θ = 40.97°, d 2.203, I = 36; 2θ = 42.13°, d 2.145, I = 100; 2θ = 56.80°, d 1.621, I = 7; 2θ = 63.49°, d 1.465, I = 12; 2θ = 77.07°, d 1.237, I = 9; 2θ = 79.20°, d 1.209, I = 12; 2θ = 80.68°, d 1.191, I = 7; 2θ = 81.50°, d 1.181, I = 6